No. 1
This entry pairs a crystal structure of Y3Ga3Cu2 with its calculated XRD peak list. Radiation: λ = 1.5418 Å (Cu Kα). Structure: a DFT-relaxed cell (PBE, Alexandria).
No peak broadening, texture or thermal motion is included.

Structural model:
abc: 4.3290 10.3914 14.5123
angles: 90.00 90.00 90.00
Space group Cmcm (No. 63)
Unique sites:
Y 0.0000 0.0957 0.1075
Y 0.0000 0.3730 0.2500
Ga 0.0000 0.3352 0.7500
Ga 0.0000 0.3845 0.0392
Cu 0.0000 0.2002 0.6003

The 6 most intense peaks (5 to 70 degrees two-theta), by angle:
Position (°2θ)  Rel. int.  index
33.36  100  1 1 4
33.71  54  1 3 1
34.53  27  0 4 0
35.42  25  0 2 5
38.12  42  1 3 3
41.69  96  2 0 0

No. 2
This entry pairs a crystal structure of PBr with its calculated XRD peak list. Radiation: λ = 1.5418 Å (Cu Kα). Structure: a DFT-relaxed cell (PBE, Alexandria).
No peak broadening, texture or thermal motion is included.

Structural model:
abc: 13.0658 13.0658 3.4867
angles: 90.00 90.00 90.00
Space group P4/m (No. 83)
Unique sites:
P 0.0970 0.6401 0.0000
P 0.2027 0.6909 0.5000
Br 0.0008 0.7835 0.0000
Br 0.2970 0.5460 0.5000

The 6 most intense peaks (5 to 70 degrees two-theta), by angle:
Position (°2θ)  Rel. int.  index
15.16  88  1 2 0
19.21  100  2 2 0
26.46  77  1 0 1
29.00  44  3 3 0
29.84  37  2 1 1
35.74  90  3 2 1

No. 3
This entry pairs a crystal structure of CaMgCo with its calculated XRD peak list. Radiation: λ = 1.5418 Å (Cu Kα). Structure: a DFT-relaxed cell (PBE, Alexandria).
No peak broadening, texture or thermal motion is included.

Structural model:
abc: 6.0460 12.1855 7.4324
angles: 90.00 90.00 90.00
Space group Cmce (No. 64)
Unique sites:
Ca 0.0000 0.1898 0.1030
Mg 0.2500 0.0470 0.7500
Co 0.0000 0.0860 0.4574

The 6 most intense peaks (5 to 70 degrees two-theta), by angle:
Position (°2θ)  Rel. int.  index
20.29  100  1 1 1
29.55  40  2 0 0
35.97  36  1 3 2
38.38  51  2 0 2
39.26  38  0 2 3
41.77  71  1 5 1

No. 4
This entry pairs a crystal structure of RbAlH8N4 with its calculated XRD peak list. Radiation: λ = 1.5418 Å (Cu Kα). Structure: a DFT-relaxed cell (PBE, Alexandria).
No peak broadening, texture or thermal motion is included.

Structural model:
abc: 7.5371 7.5371 5.0927
angles: 90.00 90.00 90.00
Space group P4/n (No. 85, origin choice 2)
Unique sites:
Rb 0.2500 0.2500 0.1363
Al 0.2500 0.7500 0.5000
H 0.0270 0.4125 0.6802
H 0.1178 0.8776 0.9132
N 0.0793 0.6633 0.2652

The 6 most intense peaks (5 to 70 degrees two-theta), by angle:
Position (°2θ)  Rel. int.  index
21.05  43  1 0 1
23.61  69  2 0 0
24.17  80  1 1 1
31.84  100  2 1 1
37.27  29  1 0 2
41.85  37  3 1 1

No. 5
This entry pairs a crystal structure of Pm10Nd4Pu with its calculated XRD peak list. Radiation: λ = 1.5418 Å (Cu Kα). Structure: a DFT-relaxed cell (PBE, Alexandria).
No peak broadening, texture or thermal motion is included.

Structural model:
abc: 11.5716 11.5716 7.8358
angles: 90.00 90.00 90.00
Space group I4/mmm (No. 139)
Unique sites:
Pm 0.0000 0.2093 0.2157
Pm 0.0000 0.5000 0.2500
Nd 0.2302 0.2302 0.5000
Pu 0.0000 0.0000 0.5000

The 6 most intense peaks (5 to 70 degrees two-theta), by angle:
Position (°2θ)  Rel. int.  index
30.09  46  3 2 1
30.91  99  4 0 0
31.62  100  2 2 2
33.51  47  3 1 2
40.29  47  3 3 2
65.97  42  7 3 2

No. 6
This entry pairs a crystal structure of PrTh2Al6 with its calculated XRD peak list. Radiation: λ = 1.5418 Å (Cu Kα). Structure: a DFT-relaxed cell (PBE, Alexandria).
No peak broadening, texture or thermal motion is included.

Structural model:
abc: 7.6615 7.6615 4.1969
angles: 90.00 90.00 120.00
Space group P6/mmm (No. 191)
Unique sites:
Pr 0.0000 0.0000 0.0000
Th 0.3333 0.6667 0.0000
Al 0.0000 0.3343 0.5000

The 6 most intense peaks (5 to 70 degrees two-theta), by angle:
Position (°2θ)  Rel. int.  index
23.22  61  1 1 0
31.62  100  1 1 1
40.80  32  3 0 0
52.52  24  2 2 1
60.85  20  3 0 2
68.56  22  4 1 1

No. 7
This entry pairs a crystal structure of RbCr5Se8 with its calculated XRD peak list. Radiation: λ = 1.5418 Å (Cu Kα). Structure: a DFT-relaxed cell (PBE, Alexandria).
No peak broadening, texture or thermal motion is included.

Structural model:
abc: 19.0546 3.7058 9.1466
angles: 90.00 105.15 90.00
Space group C2/m (No. 12)
Unique sites:
Rb 0.0000 0.0000 0.0000
Cr 0.0000 0.5000 0.5000
Cr 0.1587 0.0000 0.4780
Cr 0.2044 0.0000 0.8335
Se 0.0757 0.0000 0.6518
Se 0.0861 0.5000 0.3292
Se 0.1715 0.5000 0.9879
Se 0.2387 0.5000 0.6565

The 6 most intense peaks (5 to 70 degrees two-theta), by angle:
Position (°2θ)  Rel. int.  index
30.86  43  6 0 -2
31.23  100  3 1 1
32.46  69  3 1 -2
44.75  29  3 1 3
49.17  31  0 2 0
49.61  56  9 1 -1

No. 8
This entry pairs a crystal structure of Na3TeH with its calculated XRD peak list. Radiation: λ = 1.5418 Å (Cu Kα). Structure: a DFT-relaxed cell (PBE, Alexandria).
No peak broadening, texture or thermal motion is included.

Structural model:
abc: 11.6269 6.7085 5.5402
angles: 90.00 90.07 90.00
Space group C2/m (No. 12)
Unique sites:
Na 0.0811 0.2440 0.2502
Na 0.1625 0.0000 0.7507
Te 0.1668 0.5000 0.7497
H 0.0000 0.0000 0.0000
H 0.0000 0.0000 0.5000

The 6 most intense peaks (5 to 70 degrees two-theta), by angle:
Position (°2θ)  Rel. int.  index
15.25  27  2 0 0
22.17  83  1 1 -1
26.57  36  3 1 0
32.32  27  0 0 2
34.86  100  4 0 1
44.36  24  1 3 -1